Record 1
The following is a calculated X-ray powder pattern of Nb3Ga2Cl9. It was derived from a DFT-relaxed cell (PBE, the Materials Project), using copper Kα.
Kinematic intensities with the Lorentz-polarization factor, no thermal factor.

Crystal structure
a b c (Å): 10.233 16.306 9.551
angles (deg): 90.00 115.07 90.00
Space group C2/m (No. 12)
Symmetry-distinct sites (fractional):
Nb 0.120 0.000 0.370 x4
Nb 0.134 0.090 0.643 x8
Ga 0.117 0.338 0.836 x8
Cl 0.000 0.213 0.500 x4
Cl 0.018 0.106 0.821 x8
Cl 0.180 0.500 0.165 x4
Cl 0.193 0.296 0.164 x8
Cl 0.201 0.393 0.483 x8
Cl 0.226 0.500 0.792 x4

Principal peaks in the range 2θ from 15° to 90°, in order of rising 2θ:
hkl	d_spacing	I_rel
0 0 2	4.318	37
1 3 -2	3.585	40
3 1 -1	3.331	35
1 5 1	2.778	38
3 1 -3	2.735	65
2 4 1	2.661	100
2 4 -3	2.472	33
1 5 2	2.356	92
4 0 -4	2.081	42
2 6 2	1.898	48
3 1 3	1.756	39
2 4 -5	1.728	40



Record 2
The following is a calculated X-ray powder pattern of CsTbZnTe3. It was derived from a DFT-relaxed cell (PBE, the Materials Project), using copper Kα.
Kinematic intensities with the Lorentz-polarization factor, no thermal factor.

Crystal structure
a b c (Å): 4.440 17.310 11.784
angles (deg): 90.00 90.00 90.00
Space group Cmcm (No. 63)
Symmetry-distinct sites (fractional):
Cs 0.000 0.245 0.250 x4
Tb 0.000 0.500 0.000 x4
Zn 0.000 0.039 0.750 x4
Te 0.000 0.120 0.556 x8
Te 0.000 0.442 0.750 x4

Principal peaks in the range 2θ from 15° to 90°, in order of rising 2θ:
hkl	d_spacing	I_rel
0 2 3	3.577	34
1 3 0	3.519	48
0 4 2	3.488	20
1 3 1	3.372	100
1 3 2	3.021	41
0 0 4	2.946	38
1 1 3	2.901	27
1 5 2	2.477	51
0 4 4	2.433	25
2 0 0	2.220	34
1 3 5	1.958	39
1 7 3	1.893	33



Record 3
The following is a calculated X-ray powder pattern of Sr3LaBr9. It was derived from a DFT-relaxed cell (PBE, the Materials Project), using copper Kα.
Kinematic intensities with the Lorentz-polarization factor, no thermal factor.

Crystal structure
a b c (Å): 7.811 7.270 30.661
angles (deg): 90.00 91.91 90.00
Space group Pc (No. 7)
Symmetry-distinct sites (fractional):
Sr 0.000 0.003 0.000 x2
Sr 0.474 0.485 0.260 x2
Sr 0.511 0.479 0.500 x2
Sr 0.579 0.015 0.383 x2
Sr 0.613 0.012 0.623 x2
Sr 0.969 0.030 0.259 x2
La 0.092 0.479 0.385 x2
La 0.117 0.455 0.625 x2
Br 0.140 0.393 0.986 x2
Br 0.146 0.326 0.798 x2
Br 0.188 0.290 0.201 x2
Br 0.281 0.200 0.323 x2
Br 0.286 0.179 0.441 x2
Br 0.294 0.182 0.563 x2
Br 0.371 0.242 0.682 x2
Br 0.429 0.350 0.093 x2
Br 0.450 0.387 0.895 x2
Br 0.625 0.119 0.993 x2
Br 0.641 0.157 0.792 x2
Br 0.691 0.238 0.203 x2
Br 0.799 0.317 0.324 x2
Br 0.802 0.305 0.441 x2
Br 0.814 0.298 0.563 x2
Br 0.880 0.247 0.682 x2
Br 0.939 0.152 0.897 x2
Br 0.942 0.200 0.092 x2

Principal peaks in the range 2θ from 15° to 90°, in order of rising 2θ:
hkl	d_spacing	I_rel
1 1 0	5.320	31
1 1 -4	4.417	40
1 2 -1	3.279	41
0 1 9	3.082	59
2 1 -5	3.037	31
2 1 5	2.962	44
1 2 -5	2.920	30
2 0 -8	2.781	30
2 0 8	2.689	41
2 2 0	2.661	55
0 2 8	2.636	100
3 1 0	2.450	63



Record 4
The following is a calculated X-ray powder pattern of Ce2PPt8. It was derived from a DFT-relaxed cell (PBE, the Materials Project), using copper Kα.
Kinematic intensities with the Lorentz-polarization factor, no thermal factor.

Crystal structure
a b c (Å): 4.296 17.513 5.443
angles (deg): 90.00 90.00 90.00
Space group Amm2 (No. 38)
Symmetry-distinct sites (fractional):
Ce 0.000 0.123 0.000 x4
P 0.500 0.000 0.268 x2
Pt 0.000 0.000 0.493 x2
Pt 0.000 0.201 0.501 x4
Pt 0.500 0.000 0.858 x2
Pt 0.500 0.110 0.494 x4
Pt 0.500 0.248 0.756 x4

Principal peaks in the range 2θ from 15° to 90°, in order of rising 2θ:
hkl	d_spacing	I_rel
0 1 1	5.198	19
1 3 1	2.920	16
0 0 2	2.722	14
1 5 1	2.429	100
0 4 2	2.311	17
1 0 2	2.299	24
1 2 2	2.224	13
0 8 0	2.189	13
2 0 0	2.148	37
1 4 2	2.036	28
1 5 3	1.509	14
3 5 1	1.288	17



Record 5
The following is a calculated X-ray powder pattern of SmAu3. It was derived from a DFT-relaxed cell (PBE, the Materials Project), using copper Kα.
Kinematic intensities with the Lorentz-polarization factor, no thermal factor.

Crystal structure
a b c (Å): 5.116 6.376 5.201
angles (deg): 90.00 90.00 90.00
Space group Pmmn (No. 59, origin choice 2)
Symmetry-distinct sites (fractional):
Sm 0.250 0.250 0.157 x2
Au 0.250 0.510 0.661 x4
Au 0.250 0.750 0.173 x2

Principal peaks in the range 2θ from 15° to 90°, in order of rising 2θ:
hkl	d_spacing	I_rel
0 2 1	2.718	26
2 0 0	2.558	41
1 2 1	2.400	100
1 0 2	2.318	49
2 2 1	1.863	17
0 4 0	1.594	10
0 2 3	1.523	17
3 2 1	1.445	21
3 0 2	1.426	11
2 4 0	1.353	11
1 4 2	1.314	16
2 2 3	1.309	20



Record 6
The following is a calculated X-ray powder pattern of B4W. It was derived from a DFT-relaxed cell (PBE, the Materials Project), using copper Kα.
Kinematic intensities with the Lorentz-polarization factor, no thermal factor.

Crystal structure
a b c (Å): 6.976 6.976 3.906
angles (deg): 90.00 90.00 90.00
Space group P4/mbm (No. 127)
Symmetry-distinct sites (fractional):
B 0.000 0.000 0.200 x4
B 0.024 0.182 0.500 x8
B 0.088 0.412 0.500 x4
W 0.120 0.620 0.000 x4

Principal peaks in the range 2θ from 15° to 90°, in order of rising 2θ:
hkl	d_spacing	I_rel
1 1 0	4.933	65
0 0 1	3.906	62
2 1 0	3.120	82
1 1 1	3.062	51
2 1 1	2.438	100
3 1 0	2.206	17
3 2 0	1.935	29
3 1 1	1.921	24
3 2 1	1.734	45
2 1 2	1.655	27
4 0 1	1.592	26
3 2 2	1.374	19



Repeat the fifth record exactly.
The following is a calculated X-ray powder pattern of SmAu3. It was derived from a DFT-relaxed cell (PBE, the Materials Project), using copper Kα.
Kinematic intensities with the Lorentz-polarization factor, no thermal factor.

Crystal structure
a b c (Å): 5.116 6.376 5.201
angles (deg): 90.00 90.00 90.00
Space group Pmmn (No. 59, origin choice 2)
Symmetry-distinct sites (fractional):
Sm 0.250 0.250 0.157 x2
Au 0.250 0.510 0.661 x4
Au 0.250 0.750 0.173 x2

Principal peaks in the range 2θ from 15° to 90°, in order of rising 2θ:
hkl	d_spacing	I_rel
0 2 1	2.718	26
2 0 0	2.558	41
1 2 1	2.400	100
1 0 2	2.318	49
2 2 1	1.863	17
0 4 0	1.594	10
0 2 3	1.523	17
3 2 1	1.445	21
3 0 2	1.426	11
2 4 0	1.353	11
1 4 2	1.314	16
2 2 3	1.309	20